Starting from a DFT-relaxed cell (GGA-PBE, Alexandria), the powder diffraction line list of Ag2Hg5Pd5 was calculated for Cu Kα (λ = 1.5418 Å).
No peak broadening, texture or thermal motion is included.

Structural model:
```
data_Ag2Hg5Pd5
_chemical_formula_sum 'Ag2 Hg5 Pd5'
_space_group_name_H-M_alt 'P 1'
_space_group_IT_number 1
_cell_length_a 6.669
_cell_length_b 6.669
_cell_length_c 9.626
_cell_angle_alpha 115.67
_cell_angle_beta 115.67
_cell_angle_gamma 35.00
loop_
_space_group_symop_operation_xyz
'x,y,z'
loop_
_atom_site_label
_atom_site_fract_x
_atom_site_fract_y
_atom_site_fract_z
Ag1 0.080 0.080 0.258
Ag2 0.920 0.920 0.742
Hg1 0.000 0.000 0.500
Hg2 0.156 0.156 0.993
Hg3 0.256 0.256 0.734
Hg4 0.744 0.744 0.266
Hg5 0.844 0.844 0.007
Pd1 0.338 0.338 0.501
Pd2 0.408 0.408 0.247
Pd3 0.500 0.500 0.000
Pd4 0.592 0.592 0.753
Pd5 0.662 0.662 0.499
```

The 10 most intense peaks (10° ≤ 2θ ≤ 80°), in order of rising 2θ:
| 2θ/deg | I_rel |
| --- | --- |
| 37.12 | 100 |
| 37.50 | 100 |
| 42.15 | 36 |
| 42.65 | 33 |
| 45.21 | 30 |
| 63.52 | 22 |
| 63.90 | 20 |
| 73.49 | 12 |
| 74.20 | 23 |
| 78.33 | 12 |


Starting from a DFT-relaxed cell (GGA-PBE, Alexandria), the powder diffraction line list of Ag4HgPd4 was calculated for Cu Kα (λ = 1.5418 Å).
No peak broadening, texture or thermal motion is included.

Structural model:
```
data_Ag4HgPd4
_chemical_formula_sum 'Ag4 Hg1 Pd4'
_space_group_name_H-M_alt 'P 1'
_space_group_IT_number 1
_cell_length_a 6.412
_cell_length_b 6.412
_cell_length_c 6.412
_cell_angle_alpha 96.06
_cell_angle_beta 96.06
_cell_angle_gamma 142.08
loop_
_space_group_symop_operation_xyz
'x,y,z'
loop_
_atom_site_label
_atom_site_fract_x
_atom_site_fract_y
_atom_site_fract_z
Ag1 0.170 0.170 0.340
Ag2 0.170 0.830 0.000
Ag3 0.830 0.170 0.000
Ag4 0.830 0.830 0.660
Hg1 0.500 0.500 0.000
Pd1 0.162 0.500 0.662
Pd2 0.500 0.162 0.662
Pd3 0.500 0.838 0.338
Pd4 0.838 0.500 0.338
```

The 10 most intense peaks (10° ≤ 2θ ≤ 80°), in order of rising 2θ:
| 2θ/deg | I_rel |
| --- | --- |
| 14.61 | 2 |
| 23.74 | 2 |
| 31.71 | 3 |
| 38.18 | 100 |
| 43.43 | 17 |
| 44.84 | 31 |
| 64.20 | 21 |
| 65.28 | 10 |
| 76.21 | 13 |
| 78.21 | 23 |


Starting from a DFT-relaxed cell (GGA-PBE, Alexandria), the powder diffraction line list of AgHg3Pd12 was calculated for Cu Kα (λ = 1.5418 Å).
No peak broadening, texture or thermal motion is included.

Structural model:
```
data_AgHg3Pd12
_chemical_formula_sum 'Ag1 Hg3 Pd12'
_space_group_name_H-M_alt 'P 1'
_space_group_IT_number 1
_cell_length_a 4.027
_cell_length_b 4.027
_cell_length_c 16.249
_cell_angle_alpha 90.00
_cell_angle_beta 90.00
_cell_angle_gamma 90.00
loop_
_space_group_symop_operation_xyz
'x,y,z'
loop_
_atom_site_label
_atom_site_fract_x
_atom_site_fract_y
_atom_site_fract_z
Ag1 0.000 0.000 0.000
Hg1 0.000 0.000 0.248
Hg2 0.000 0.000 0.500
Hg3 0.000 0.000 0.752
Pd1 0.000 0.500 0.122
Pd2 0.000 0.500 0.374
Pd3 0.000 0.500 0.626
Pd4 0.000 0.500 0.878
Pd5 0.500 0.000 0.122
Pd6 0.500 0.000 0.374
Pd7 0.500 0.000 0.626
Pd8 0.500 0.000 0.878
Pd9 0.500 0.500 0.000
Pd10 0.500 0.500 0.247
Pd11 0.500 0.500 0.500
Pd12 0.500 0.500 0.753
```

The 10 most intense peaks (10° ≤ 2θ ≤ 80°), in order of rising 2θ:
| 2θ/deg | I_rel |
| --- | --- |
| 21.88 | 2 |
| 22.07 | 4 |
| 31.27 | 3 |
| 38.61 | 100 |
| 44.61 | 16 |
| 45.02 | 32 |
| 65.24 | 21 |
| 65.56 | 10 |
| 78.16 | 12 |
| 78.75 | 25 |


Starting from a DFT-relaxed cell (GGA-PBE, Alexandria), the powder diffraction line list of Ag5HgPd5 was calculated for Cu Kα (λ = 1.5418 Å).
No peak broadening, texture or thermal motion is included.

Structural model:
```
data_Ag5HgPd5
_chemical_formula_sum 'Ag5 Hg1 Pd5'
_space_group_name_H-M_alt 'P 1'
_space_group_IT_number 1
_cell_length_a 5.233
_cell_length_b 5.568
_cell_length_c 6.983
_cell_angle_alpha 102.82
_cell_angle_beta 95.72
_cell_angle_gamma 98.22
loop_
_space_group_symop_operation_xyz
'x,y,z'
loop_
_atom_site_label
_atom_site_fract_x
_atom_site_fract_y
_atom_site_fract_z
Ag1 0.000 0.000 0.000
Ag2 0.078 0.724 0.630
Ag3 0.494 0.730 0.919
Ag4 0.506 0.270 0.081
Ag5 0.922 0.276 0.370
Hg1 0.000 0.500 0.000
Pd1 0.219 0.232 0.706
Pd2 0.323 0.954 0.334
Pd3 0.500 0.500 0.500
Pd4 0.677 0.046 0.666
Pd5 0.781 0.768 0.294
```

The 10 most intense peaks (10° ≤ 2θ ≤ 80°), in order of rising 2θ:
| 2θ/deg | I_rel |
| --- | --- |
| 34.68 | 15 |
| 37.57 | 17 |
| 38.89 | 26 |
| 39.27 | 100 |
| 39.64 | 93 |
| 40.10 | 26 |
| 40.69 | 31 |
| 41.21 | 56 |
| 41.59 | 19 |
| 41.94 | 24 |


Starting from a DFT-relaxed cell (GGA-PBE, Alexandria), the powder diffraction line list of Ag2Hg3Pd7 was calculated for Cu Kα (λ = 1.5418 Å).
No peak broadening, texture or thermal motion is included.

Structural model:
```
data_Ag2Hg3Pd7
_chemical_formula_sum 'Ag2 Hg3 Pd7'
_space_group_name_H-M_alt 'P 1'
_space_group_IT_number 1
_cell_length_a 9.836
_cell_length_b 9.609
_cell_length_c 4.789
_cell_angle_alpha 78.40
_cell_angle_beta 73.12
_cell_angle_gamma 28.48
loop_
_space_group_symop_operation_xyz
'x,y,z'
loop_
_atom_site_label
_atom_site_fract_x
_atom_site_fract_y
_atom_site_fract_z
Ag1 0.167 0.167 0.833
Ag2 0.833 0.833 0.167
Hg1 0.000 0.000 0.000
Hg2 0.335 0.335 0.665
Hg3 0.665 0.665 0.335
Pd1 0.082 0.082 0.418
Pd2 0.250 0.250 0.250
Pd3 0.418 0.418 0.082
Pd4 0.500 0.500 0.500
Pd5 0.582 0.582 0.918
Pd6 0.750 0.750 0.750
Pd7 0.918 0.918 0.582
```

The 10 most intense peaks (10° ≤ 2θ ≤ 80°), in order of rising 2θ:
| 2θ/deg | I_rel |
| --- | --- |
| 23.94 | 9 |
| 24.06 | 3 |
| 29.38 | 3 |
| 38.33 | 100 |
| 42.03 | 38 |
| 48.97 | 5 |
| 49.28 | 12 |
| 60.95 | 13 |
| 66.72 | 19 |
| 74.33 | 28 |


Starting from a DFT-relaxed cell (GGA-PBE, Alexandria), the powder diffraction line list of Ag7HgPd2 was calculated for Cu Kα (λ = 1.5418 Å).
No peak broadening, texture or thermal motion is included.

Structural model:
```
data_Ag7HgPd2
_chemical_formula_sum 'Ag7 Hg1 Pd2'
_space_group_name_H-M_alt 'P 1'
_space_group_IT_number 1
_cell_length_a 7.769
_cell_length_b 7.769
_cell_length_c 4.575
_cell_angle_alpha 90.00
_cell_angle_beta 90.00
_cell_angle_gamma 122.34
loop_
_space_group_symop_operation_xyz
'x,y,z'
loop_
_atom_site_label
_atom_site_fract_x
_atom_site_fract_y
_atom_site_fract_z
Ag1 0.000 0.000 0.000
Ag2 0.206 0.428 0.000
Ag3 0.297 0.703 0.500
Ag4 0.428 0.206 0.000
Ag5 0.572 0.794 0.000
Ag6 0.703 0.297 0.500
Ag7 0.794 0.572 0.000
Hg1 0.500 0.500 0.500
Pd1 0.202 0.798 0.000
Pd2 0.798 0.202 0.000
```

The 10 most intense peaks (10° ≤ 2θ ≤ 80°), in order of rising 2θ:
| 2θ/deg | I_rel |
| --- | --- |
| 13.49 | 43 |
| 19.40 | 25 |
| 23.72 | 67 |
| 32.80 | 29 |
| 35.64 | 48 |
| 39.39 | 46 |
| 40.39 | 100 |
| 41.73 | 63 |
| 54.16 | 28 |
| 75.31 | 22 |


Starting from a DFT-relaxed cell (GGA-PBE, Alexandria), the powder diffraction line list of Sc4Ag2HgPd was calculated for Cu Kα (λ = 1.5418 Å).
No peak broadening, texture or thermal motion is included.

Structural model:
```
data_Sc4Ag2HgPd
_chemical_formula_sum 'Sc4 Ag2 Hg1 Pd1'
_space_group_name_H-M_alt 'P 1'
_space_group_IT_number 1
_cell_length_a 8.367
_cell_length_b 8.367
_cell_length_c 8.367
_cell_angle_alpha 33.68
_cell_angle_beta 33.68
_cell_angle_gamma 33.68
loop_
_space_group_symop_operation_xyz
'x,y,z'
loop_
_atom_site_label
_atom_site_fract_x
_atom_site_fract_y
_atom_site_fract_z
Sc1 0.120 0.120 0.120
Sc2 0.371 0.371 0.371
Sc3 0.629 0.629 0.629
Sc4 0.880 0.880 0.880
Ag1 0.247 0.247 0.247
Ag2 0.753 0.753 0.753
Hg1 0.500 0.500 0.500
Pd1 0.000 0.000 0.000
```

The 10 most intense peaks (10° ≤ 2θ ≤ 80°), in order of rising 2θ:
| 2θ/deg | I_rel |
| --- | --- |
| 26.03 | 62 |
| 37.09 | 100 |
| 37.19 | 97 |
| 45.88 | 14 |
| 53.54 | 33 |
| 60.40 | 12 |
| 60.54 | 13 |
| 66.90 | 49 |
| 67.12 | 15 |
| 79.01 | 10 |


Starting from a DFT-relaxed cell (GGA-PBE, Alexandria), the powder diffraction line list of SrAgHg2Pd2 was calculated for Cu Kα (λ = 1.5418 Å).
No peak broadening, texture or thermal motion is included.

Structural model:
```
data_SrAgHg2Pd2
_chemical_formula_sum 'Sr2 Ag2 Hg4 Pd4'
_space_group_name_H-M_alt 'P 1'
_space_group_IT_number 1
_cell_length_a 5.378
_cell_length_b 5.378
_cell_length_c 11.255
_cell_angle_alpha 90.00
_cell_angle_beta 90.00
_cell_angle_gamma 90.00
loop_
_space_group_symop_operation_xyz
'x,y,z'
loop_
_atom_site_label
_atom_site_fract_x
_atom_site_fract_y
_atom_site_fract_z
Sr1 0.000 0.000 0.000
Sr2 0.500 0.500 0.500
Ag1 0.000 0.000 0.500
Ag2 0.500 0.500 0.000
Hg1 0.000 0.500 0.250
Hg2 0.000 0.500 0.750
Hg3 0.500 0.000 0.250
Hg4 0.500 0.000 0.750
Pd1 0.000 0.000 0.265
Pd2 0.000 0.000 0.735
Pd3 0.500 0.500 0.235
Pd4 0.500 0.500 0.765
```

The 10 most intense peaks (10° ≤ 2θ ≤ 80°), in order of rising 2θ:
| 2θ/deg | I_rel |
| --- | --- |
| 15.75 | 76 |
| 28.32 | 68 |
| 31.80 | 54 |
| 33.32 | 100 |
| 37.05 | 38 |
| 46.73 | 75 |
| 47.84 | 36 |
| 56.53 | 20 |
| 58.59 | 38 |
| 79.74 | 16 |


Starting from a DFT-relaxed cell (GGA-PBE, Alexandria), the powder diffraction line list of Pm3Ag2Hg4 was calculated for Cu Kα (λ = 1.5418 Å).
No peak broadening, texture or thermal motion is included.

Structural model:
```
data_Pm3Ag2Hg4
_chemical_formula_sum 'Pm3 Ag2 Hg4'
_space_group_name_H-M_alt 'P 1'
_space_group_IT_number 1
_cell_length_a 5.378
_cell_length_b 5.378
_cell_length_c 9.187
_cell_angle_alpha 96.77
_cell_angle_beta 96.77
_cell_angle_gamma 58.63
loop_
_space_group_symop_operation_xyz
'x,y,z'
loop_
_atom_site_label
_atom_site_fract_x
_atom_site_fract_y
_atom_site_fract_z
Pm1 0.000 0.000 0.000
Pm2 0.374 0.374 0.279
Pm3 0.626 0.626 0.721
Ag1 0.278 0.278 0.601
Ag2 0.722 0.722 0.399
Hg1 0.053 0.053 0.350
Hg2 0.320 0.320 0.921
Hg3 0.680 0.680 0.079
Hg4 0.947 0.947 0.650
```

The 10 most intense peaks (10° ≤ 2θ ≤ 80°), in order of rising 2θ:
| 2θ/deg | I_rel |
| --- | --- |
| 29.44 | 37 |
| 33.01 | 51 |
| 33.57 | 100 |
| 33.87 | 63 |
| 34.05 | 89 |
| 36.60 | 80 |
| 42.41 | 25 |
| 45.62 | 25 |
| 48.15 | 36 |
| 62.63 | 31 |


Starting from a DFT-relaxed cell (GGA-PBE, Alexandria), the powder diffraction line list of Pm4Ag3Hg was calculated for Cu Kα (λ = 1.5418 Å).
No peak broadening, texture or thermal motion is included.

Structural model:
```
data_Pm4Ag3Hg
_chemical_formula_sum 'Pm4 Ag3 Hg1'
_space_group_name_H-M_alt 'P 1'
_space_group_IT_number 1
_cell_length_a 3.813
_cell_length_b 4.915
_cell_length_c 11.542
_cell_angle_alpha 90.00
_cell_angle_beta 90.00
_cell_angle_gamma 90.00
loop_
_space_group_symop_operation_xyz
'x,y,z'
loop_
_atom_site_label
_atom_site_fract_x
_atom_site_fract_y
_atom_site_fract_z
Pm1 0.000 0.000 0.000
Pm2 0.000 0.500 0.282
Pm3 0.500 0.000 0.490
Pm4 0.500 0.500 0.788
Ag1 0.000 0.500 0.559
Ag2 0.500 0.000 0.217
Ag3 0.500 0.500 0.065
Hg1 0.000 0.000 0.720
```

The 10 most intense peaks (10° ≤ 2θ ≤ 80°), in order of rising 2θ:
| 2θ/deg | I_rel |
| --- | --- |
| 30.67 | 100 |
| 30.99 | 25 |
| 33.08 | 28 |
| 36.10 | 37 |
| 36.57 | 38 |
| 37.93 | 64 |
| 47.70 | 18 |
| 50.12 | 17 |
| 61.25 | 31 |
| 73.49 | 18 |


Starting from a DFT-relaxed cell (GGA-PBE, Alexandria), the powder diffraction line list of Pm2Ag4Hg3 was calculated for Cu Kα (λ = 1.5418 Å).
No peak broadening, texture or thermal motion is included.

Structural model:
```
data_Pm2Ag4Hg3
_chemical_formula_sum 'Pm4 Ag8 Hg6'
_space_group_name_H-M_alt 'P 1'
_space_group_IT_number 1
_cell_length_a 8.604
_cell_length_b 8.604
_cell_length_c 8.563
_cell_angle_alpha 90.00
_cell_angle_beta 90.00
_cell_angle_gamma 138.37
loop_
_space_group_symop_operation_xyz
'x,y,z'
loop_
_atom_site_label
_atom_site_fract_x
_atom_site_fract_y
_atom_site_fract_z
Pm1 0.118 0.882 0.925
Pm2 0.382 0.618 0.425
Pm3 0.618 0.382 0.575
Pm4 0.882 0.118 0.075
Ag1 0.177 0.823 0.528
Ag2 0.203 0.297 0.750
Ag3 0.297 0.203 0.250
Ag4 0.323 0.677 0.028
Ag5 0.677 0.323 0.972
Ag6 0.703 0.797 0.750
Ag7 0.797 0.703 0.250
Ag8 0.823 0.177 0.472
Hg1 0.000 0.000 0.500
Hg2 0.025 0.475 0.750
Hg3 0.475 0.025 0.250
Hg4 0.500 0.500 0.000
Hg5 0.525 0.975 0.750
Hg6 0.975 0.525 0.250
```

The 10 most intense peaks (10° ≤ 2θ ≤ 80°), in order of rising 2θ:
| 2θ/deg | I_rel |
| --- | --- |
| 30.49 | 29 |
| 33.05 | 29 |
| 33.16 | 59 |
| 33.31 | 33 |
| 35.09 | 41 |
| 36.10 | 100 |
| 36.94 | 20 |
| 39.67 | 22 |
| 44.97 | 26 |
| 55.84 | 23 |


Starting from a DFT-relaxed cell (GGA-PBE, Alexandria), the powder diffraction line list of Pm4Ag3Hg was calculated for Cu Kα (λ = 1.5418 Å).
No peak broadening, texture or thermal motion is included.

Structural model:
```
data_Pm4Ag3Hg
_chemical_formula_sum 'Pm4 Ag3 Hg1'
_space_group_name_H-M_alt 'P 1'
_space_group_IT_number 1
_cell_length_a 3.747
_cell_length_b 5.315
_cell_length_c 10.605
_cell_angle_alpha 90.00
_cell_angle_beta 90.00
_cell_angle_gamma 90.00
loop_
_space_group_symop_operation_xyz
'x,y,z'
loop_
_atom_site_label
_atom_site_fract_x
_atom_site_fract_y
_atom_site_fract_z
Pm1 0.000 0.000 0.000
Pm2 0.000 0.000 0.500
Pm3 0.000 0.500 0.246
Pm4 0.000 0.500 0.754
Ag1 0.500 0.000 0.249
Ag2 0.500 0.000 0.751
Ag3 0.500 0.500 0.000
Hg1 0.500 0.500 0.500
```

The 10 most intense peaks (10° ≤ 2θ ≤ 80°), in order of rising 2θ:
| 2θ/deg | I_rel |
| --- | --- |
| 16.70 | 1 |
| 18.67 | 1 |
| 25.20 | 1 |
| 30.37 | 1 |
| 33.79 | 100 |
| 48.53 | 18 |
| 60.40 | 18 |
| 60.49 | 18 |
| 70.92 | 2 |
| 71.10 | 9 |